No. 1
Structure and computed X-ray diffraction stick pattern of KDyH2S2O9 (a PBE-relaxed structure; Cu Ka).
Peak positions follow from Bragg's law for the DFT cell and can differ from measured ones.

Principal peaks in the range 15° ≤ 2θ ≤ 90°, in order of rising 2θ:
| two_theta | I/Imax |
| --- | --- |
| 20.01 | 34 |
| 23.44 | 44 |
| 26.00 | 32 |
| 27.35 | 100 |
| 28.14 | 59 |
| 28.73 | 98 |

Atomic structure:
a = 10.1994 Å, b = 8.3666 Å, c = 10.4793 Å
α = 90.00°, β = 119.51°, γ = 90.00°
Sites, in units of the cell vectors:
K 0.2059 0.1714 0.1893
K 0.2059 0.3286 0.6893
K 0.7941 0.6714 0.3107
K 0.7941 0.8286 0.8107
Dy 0.2534 0.6454 0.0381
Dy 0.2534 0.8546 0.5381
Dy 0.7466 0.1454 0.4619
Dy 0.7466 0.3546 0.9619
H 0.3255 0.5079 0.4884
H 0.3255 0.9921 0.9884
H 0.4369 0.5569 0.6490
H 0.4369 0.9431 0.1490
H 0.5631 0.0569 0.8510
H 0.5631 0.4431 0.3510
H 0.6745 0.0079 0.0116
H 0.6745 0.4921 0.5116
S 0.0541 0.6328 0.1809
S 0.0541 0.8672 0.6809
S 0.4913 0.2068 0.5967
S 0.4913 0.2932 0.0967
S 0.5087 0.7068 0.9033
S 0.5087 0.7932 0.4033
S 0.9459 0.1328 0.3191
S 0.9459 0.3672 0.8191
O 0.0580 0.7445 0.5777
O 0.0580 0.7555 0.0777
O 0.0839 0.7076 0.3207
O 0.0839 0.7924 0.8207
O 0.0979 0.0574 0.3848
O 0.0979 0.4426 0.8848
O 0.1709 0.5130 0.2012
O 0.1709 0.9870 0.7012
O 0.3347 0.5787 0.5675
O 0.3347 0.9213 0.0675
O 0.3790 0.6266 0.9063
O 0.3790 0.8734 0.4063
O 0.3958 0.2070 0.9600
O 0.3958 0.2930 0.4600
O 0.4032 0.0854 0.6279
O 0.4032 0.4146 0.1279
O 0.4470 0.6804 0.2761
O 0.4470 0.8196 0.7761
O 0.5530 0.1804 0.2239
O 0.5530 0.3196 0.7239
O 0.5968 0.5854 0.8721
O 0.5968 0.9146 0.3721
O 0.6042 0.7070 0.5400
O 0.6042 0.7930 0.0400
O 0.6210 0.1266 0.5937
O 0.6210 0.3734 0.0937
O 0.6653 0.0787 0.9325
O 0.6653 0.4213 0.4325
O 0.8291 0.0130 0.2988
O 0.8291 0.4870 0.7988
O 0.9021 0.5574 0.1152
O 0.9021 0.9426 0.6152
O 0.9161 0.2076 0.1793
O 0.9161 0.2924 0.6793
O 0.9420 0.2445 0.9223
O 0.9420 0.2555 0.4223

=====

No. 2
Structure and computed X-ray diffraction stick pattern of LiTiAl (a PBE-relaxed structure; Cu Ka).
Peak positions follow from Bragg's law for the DFT cell and can differ from measured ones.

Principal peaks in the range 15° ≤ 2θ ≤ 90°, in order of rising 2θ:
| two_theta | I/Imax |
| --- | --- |
| 30.27 | 36 |
| 38.28 | 100 |
| 38.60 | 98 |
| 40.02 | 40 |
| 44.49 | 63 |
| 65.18 | 47 |

Atomic structure:
a = 2.8625 Å, b = 4.0241 Å, c = 8.6931 Å
α = 90.00°, β = 90.00°, γ = 90.00°
Sites, in units of the cell vectors:
Li 0.2500 0.2500 0.0870
Li 0.7500 0.7500 0.9130
Ti 0.2500 0.2500 0.4176
Ti 0.7500 0.7500 0.5824
Al 0.2500 0.2500 0.7433
Al 0.7500 0.7500 0.2567

=====

No. 3
Structure and computed X-ray diffraction stick pattern of Ce8Bi2Ir3 (a PBE-relaxed structure; Cu Ka).
Peak positions follow from Bragg's law for the DFT cell and can differ from measured ones.

Principal peaks in the range 15° ≤ 2θ ≤ 90°, in order of rising 2θ:
| two_theta | I/Imax |
| --- | --- |
| 19.22 | 30 |
| 26.64 | 36 |
| 31.75 | 53 |
| 31.93 | 100 |
| 36.96 | 25 |
| 45.00 | 73 |

Atomic structure:
a = 9.1359 Å, b = 9.1359 Å, c = 6.9755 Å
α = 104.32°, β = 104.32°, γ = 52.36°
Sites, in units of the cell vectors:
Ce 0.0978 0.0978 0.3981
Ce 0.1482 0.6497 0.1005
Ce 0.3503 0.8518 0.8995
Ce 0.3992 0.3992 0.5920
Ce 0.6008 0.6008 0.4080
Ce 0.6497 0.1482 0.1005
Ce 0.8518 0.3503 0.8995
Ce 0.9022 0.9022 0.6019
Bi 0.2511 0.2511 0.8318
Bi 0.7489 0.7489 0.1682
Ir 0.0000 0.0000 0.0000
Ir 0.2531 0.7469 0.5000
Ir 0.7469 0.2531 0.5000

=====

No. 4
Structure and computed X-ray diffraction stick pattern of ThGa4Ir2 (a PBE-relaxed structure; Cu Ka).
Peak positions follow from Bragg's law for the DFT cell and can differ from measured ones.

Principal peaks in the range 15° ≤ 2θ ≤ 90°, in order of rising 2θ:
| two_theta | I/Imax |
| --- | --- |
| 28.86 | 22 |
| 28.95 | 16 |
| 35.59 | 100 |
| 38.62 | 21 |
| 41.41 | 30 |
| 46.52 | 16 |

Atomic structure:
a = 17.4356 Å, b = 4.3611 Å, c = 6.6262 Å
α = 90.00°, β = 90.00°, γ = 90.00°
Sites, in units of the cell vectors:
Th 0.1399 0.2500 0.0104
Th 0.3601 0.7500 0.5104
Th 0.6399 0.2500 0.4896
Th 0.8601 0.7500 0.9896
Ga 0.0353 0.7500 0.8349
Ga 0.0705 0.2500 0.4965
Ga 0.1848 0.7500 0.3195
Ga 0.1888 0.7500 0.7183
Ga 0.3112 0.2500 0.2183
Ga 0.3152 0.2500 0.8195
Ga 0.4295 0.7500 0.9965
Ga 0.4647 0.2500 0.3349
Ga 0.5353 0.7500 0.6651
Ga 0.5705 0.2500 0.0035
Ga 0.6848 0.7500 0.1805
Ga 0.6888 0.7500 0.7817
Ga 0.8112 0.2500 0.2817
Ga 0.8152 0.2500 0.6805
Ga 0.9295 0.7500 0.5035
Ga 0.9647 0.2500 0.1651
Ir 0.0376 0.7500 0.2418
Ir 0.2167 0.2500 0.5202
Ir 0.2833 0.7500 0.0202
Ir 0.4624 0.2500 0.7418
Ir 0.5376 0.7500 0.2582
Ir 0.7167 0.2500 0.9798
Ir 0.7833 0.7500 0.4798
Ir 0.9624 0.2500 0.7582

=====

No. 5
Structure and computed X-ray diffraction stick pattern of K2U2O7 (a PBE-relaxed structure; Cu Ka).
Peak positions follow from Bragg's law for the DFT cell and can differ from measured ones.

Principal peaks in the range 15° ≤ 2θ ≤ 90°, in order of rising 2θ:
| two_theta | I/Imax |
| --- | --- |
| 25.88 | 60 |
| 26.28 | 35 |
| 26.98 | 100 |
| 31.09 | 35 |
| 43.99 | 17 |
| 44.94 | 30 |

Atomic structure:
a = 6.9889 Å, b = 8.0658 Å, c = 7.1820 Å
α = 90.00°, β = 109.20°, γ = 90.00°
Sites, in units of the cell vectors:
K 0.0172 0.0000 0.0069
K 0.4824 0.7580 0.9932
K 0.5176 0.2580 0.0068
K 0.9828 0.5000 0.9931
U 0.0266 0.2582 0.5043
U 0.4742 0.5000 0.4959
U 0.5258 0.0000 0.5041
U 0.9734 0.7582 0.4957
O 0.0660 0.7465 0.7739
O 0.1190 0.2563 0.7823
O 0.1437 0.5184 0.4901
O 0.2486 0.8806 0.4997
O 0.3575 0.2405 0.5103
O 0.3817 0.5014 0.2178
O 0.4332 0.0118 0.2259
O 0.5668 0.5118 0.7741
O 0.6183 0.0014 0.7822
O 0.6425 0.7405 0.4897
O 0.7514 0.3806 0.5003
O 0.8563 0.0184 0.5099
O 0.8810 0.7563 0.2177
O 0.9340 0.2465 0.2261

=====

No. 6
Structure and computed X-ray diffraction stick pattern of Y3Cd (a PBE-relaxed structure; Cu Ka).
Peak positions follow from Bragg's law for the DFT cell and can differ from measured ones.

Principal peaks in the range 15° ≤ 2θ ≤ 90°, in order of rising 2θ:
| two_theta | I/Imax |
| --- | --- |
| 29.63 | 24 |
| 32.42 | 25 |
| 33.88 | 100 |
| 52.58 | 18 |
| 58.77 | 19 |
| 63.14 | 21 |

Atomic structure:
a = 6.9621 Å, b = 6.9621 Å, c = 5.5224 Å
α = 90.00°, β = 90.00°, γ = 120.00°
Sites, in units of the cell vectors:
Y 0.1715 0.3429 0.2500
Y 0.1715 0.8285 0.2500
Y 0.3429 0.1715 0.7500
Y 0.6571 0.8285 0.2500
Y 0.8285 0.1715 0.7500
Y 0.8285 0.6571 0.7500
Cd 0.3333 0.6667 0.7500
Cd 0.6667 0.3333 0.2500

=====

No. 7
Structure and computed X-ray diffraction stick pattern of Ce2GePd3 (a PBE-relaxed structure; Cu Ka).
Peak positions follow from Bragg's law for the DFT cell and can differ from measured ones.

Principal peaks in the range 15° ≤ 2θ ≤ 90°, in order of rising 2θ:
| two_theta | I/Imax |
| --- | --- |
| 34.84 | 50 |
| 34.96 | 100 |
| 39.32 | 72 |
| 39.63 | 35 |
| 53.78 | 28 |
| 69.09 | 26 |

Atomic structure:
a = 9.1661 Å, b = 8.6451 Å, c = 5.6654 Å
α = 76.53°, β = 66.52°, γ = 36.95°
Sites, in units of the cell vectors:
Ce 0.2374 0.7626 0.7626
Ce 0.2500 0.2500 0.2500
Ce 0.7500 0.7500 0.7500
Ce 0.7626 0.2374 0.2374
Ge 0.3339 0.3339 0.6661
Ge 0.6661 0.6661 0.3339
Pd 0.1729 0.1729 0.8271
Pd 0.1767 0.6519 0.3481
Pd 0.3481 0.8233 0.1767
Pd 0.6519 0.1767 0.8233
Pd 0.8233 0.3481 0.6519
Pd 0.8271 0.8271 0.1729

=====

No. 8
Structure and computed X-ray diffraction stick pattern of CsCdAsAu (a PBE-relaxed structure; Cu Ka).
Peak positions follow from Bragg's law for the DFT cell and can differ from measured ones.

Principal peaks in the range 15° ≤ 2θ ≤ 90°, in order of rising 2θ:
| two_theta | I/Imax |
| --- | --- |
| 25.31 | 28 |
| 28.43 | 21 |
| 32.56 | 100 |
| 39.57 | 27 |
| 42.81 | 33 |
| 49.40 | 22 |

Atomic structure:
a = 4.2248 Å, b = 4.2248 Å, c = 14.0741 Å
α = 90.00°, β = 90.00°, γ = 90.00°
Sites, in units of the cell vectors:
Cs 0.2500 0.2500 0.2213
Cs 0.7500 0.7500 0.7787
Cd 0.2500 0.7500 0.5000
Cd 0.7500 0.2500 0.5000
As 0.2500 0.2500 0.6261
As 0.7500 0.7500 0.3739
Au 0.2500 0.7500 0.0000
Au 0.7500 0.2500 0.0000

=====

No. 9
Structure and computed X-ray diffraction stick pattern of TbTm6Co2 (a PBE-relaxed structure; Cu Ka).
Peak positions follow from Bragg's law for the DFT cell and can differ from measured ones.

Principal peaks in the range 15° ≤ 2θ ≤ 90°, in order of rising 2θ:
| two_theta | I/Imax |
| --- | --- |
| 29.95 | 29 |
| 32.04 | 100 |
| 34.31 | 23 |
| 34.46 | 42 |
| 34.91 | 29 |
| 59.86 | 21 |

Atomic structure:
a = 8.3898 Å, b = 8.3898 Å, c = 8.3898 Å
α = 111.80°, β = 109.57°, γ = 107.07°
Sites, in units of the cell vectors:
Tb 0.0000 0.0000 0.0000
Tb 0.5000 0.5000 0.0000
Tm 0.0260 0.2421 0.7840
Tm 0.1860 0.2863 0.4723
Tm 0.1860 0.7137 0.8996
Tm 0.3186 0.0042 0.6855
Tm 0.3186 0.6331 0.3145
Tm 0.4581 0.2421 0.2160
Tm 0.5419 0.7579 0.7840
Tm 0.6814 0.3669 0.6855
Tm 0.6814 0.9958 0.3145
Tm 0.8140 0.2863 0.1004
Tm 0.8140 0.7137 0.5277
Tm 0.9740 0.7579 0.2160
Co 0.1135 0.6135 0.5000
Co 0.3127 0.0000 0.3127
Co 0.6873 0.0000 0.6873
Co 0.8865 0.3865 0.5000

=====

No. 10
Structure and computed X-ray diffraction stick pattern of Y2Ho7 (a PBE-relaxed structure; Cu Ka).
Peak positions follow from Bragg's law for the DFT cell and can differ from measured ones.

Principal peaks in the range 15° ≤ 2θ ≤ 90°, in order of rising 2θ:
| two_theta | I/Imax |
| --- | --- |
| 31.38 | 95 |
| 32.19 | 100 |
| 33.21 | 24 |
| 45.57 | 28 |
| 56.89 | 24 |
| 62.21 | 30 |

Atomic structure:
a = 9.6326 Å, b = 9.6326 Å, c = 3.5368 Å
α = 90.00°, β = 90.00°, γ = 120.00°
Sites, in units of the cell vectors:
Y 0.3333 0.6667 0.0000
Y 0.6667 0.3333 0.0000
Ho 0.0000 0.0000 0.5000
Ho 0.0000 0.3602 0.5000
Ho 0.0000 0.6962 0.0000
Ho 0.3038 0.3038 0.0000
Ho 0.3602 0.0000 0.5000
Ho 0.6398 0.6398 0.5000
Ho 0.6962 0.0000 0.0000

=====

No. 11
Structure and computed X-ray diffraction stick pattern of LiAgTe2 (a PBE-relaxed structure; Cu Ka).
Peak positions follow from Bragg's law for the DFT cell and can differ from measured ones.

Principal peaks in the range 15° ≤ 2θ ≤ 90°, in order of rising 2θ:
| two_theta | I/Imax |
| --- | --- |
| 22.01 | 34 |
| 27.13 | 87 |
| 33.34 | 36 |
| 35.27 | 66 |
| 41.92 | 100 |
| 67.85 | 35 |

Atomic structure:
a = 3.5984 Å, b = 3.5984 Å, c = 8.0763 Å
α = 90.00°, β = 90.00°, γ = 90.00°
Sites, in units of the cell vectors:
Li 0.0000 0.0000 0.0000
Ag 0.5000 0.5000 0.8237
Te 0.0000 0.0000 0.6384
Te 0.5000 0.5000 0.1727

=====

No. 12
Structure and computed X-ray diffraction stick pattern of TeAs2O8 (a PBE-relaxed structure; Cu Ka).
Peak positions follow from Bragg's law for the DFT cell and can differ from measured ones.

Principal peaks in the range 15° ≤ 2θ ≤ 90°, in order of rising 2θ:
| two_theta | I/Imax |
| --- | --- |
| 21.29 | 100 |
| 24.13 | 98 |
| 27.61 | 37 |
| 32.34 | 31 |
| 32.69 | 31 |
| 45.19 | 43 |

Atomic structure:
a = 6.4925 Å, b = 6.4925 Å, c = 4.8510 Å
α = 95.91°, β = 95.91°, γ = 80.00°
Sites, in units of the cell vectors:
Te 0.0000 0.0000 0.0000
As 0.2045 0.2045 0.6513
As 0.7955 0.7955 0.3487
O 0.0519 0.7470 0.2068
O 0.1615 0.1615 0.2872
O 0.2530 0.9481 0.7932
O 0.3686 0.3686 0.7318
O 0.6314 0.6314 0.2682
O 0.7470 0.0519 0.2068
O 0.8385 0.8385 0.7128
O 0.9481 0.2530 0.7932